Simulated powder diffraction line list
Compound: Ho4Ru3Au
Radiation: Cu Kα (λ = 1.5418 Å)
Structure: the PBE geometry in Alexandria
Lines closer than 0.1° are merged.

Structural model:
```
data_Ho4Ru3Au
_chemical_formula_sum 'Ho4 Ru3 Au1'
_cell_length_a 4.841
_cell_length_b 4.841
_cell_length_c 6.897
_cell_angle_alpha 90.00
_cell_angle_beta 90.00
_cell_angle_gamma 90.00
_space_group_name_H-M_alt 'P 4/m m m'
_space_group_IT_number 123
_space_group_name_Hall '-P 4 2'
loop_
_atom_site_label
_atom_site_type_symbol
_atom_site_fract_x
_atom_site_fract_y
_atom_site_fract_z
Ho1 Ho 0.000 0.500 0.241
Ru1 Ru 0.000 0.000 0.000
Ru2 Ru 0.000 0.000 0.500
Ru3 Ru 0.500 0.500 0.000
Au1 Au 0.500 0.500 0.500
```

The 12 most intense peaks (2θ from 15° to 90°), by angle:
| index | Position (°2θ) | d_spacing | I_rel |
| --- | --- | --- | --- |
| 1 0 0 | 18.33 | 4.841 | 1.7 |
| 1 0 1 | 22.44 | 3.962 | 2.2 |
| 1 1 0 | 26.03 | 3.423 | 1.8 |
| 1 1 1 | 29.12 | 3.066 | 2.4 |
| 1 1 2 | 37.00 | 2.429 | 100.0 |
| 2 0 0 | 37.14 | 2.421 | 49.8 |
| 0 0 4 | 53.12 | 1.724 | 8.7 |
| 2 2 0 | 53.54 | 1.712 | 17.4 |
| 2 0 4 | 66.59 | 1.404 | 17.5 |
| 3 1 2 | 66.87 | 1.399 | 35.3 |
| 2 2 4 | 78.79 | 1.215 | 10.9 |
| 4 0 0 | 79.13 | 1.210 | 5.6 |